1.
# LiNiPO4
Calculated XRD peak list, CuKα. Input: a cell relaxed with PBE+U.
Kinematic intensities with the Lorentz-polarization factor, no thermal factor.

Structure:
```
data_LiNiPO4
_chemical_formula_sum 'Li4 Ni4 P4 O16'
_cell_length_a 9.0290
_cell_length_b 6.3051
_cell_length_c 4.8864
_cell_angle_alpha 90.00
_cell_angle_beta 90.00
_cell_angle_gamma 90.00
_symmetry_space_group_name_H-M 'P n m a'
_symmetry_Int_Tables_number 62
_symmetry_space_group_name_Hall '-P 2ac 2n'
loop_
_atom_site_label
_atom_site_fract_x
_atom_site_fract_y
_atom_site_fract_z
Li1 0.1634 0.2500 0.0207
Ni1 0.0000 0.0000 0.5000
P1 0.1786 0.7500 0.0240
O1 0.1195 0.5473 0.1598
O2 0.1352 0.7500 0.7129
O3 0.1476 0.2500 0.5756
```

Peak list (10 most intense, 15° ≤ 2θ ≤ 90°, by angle)
| two_theta | Rel. int. | hkl |
| --- | --- | --- |
| 19.7 | 33 | 2 0 0 |
| 20.7 | 91 | 1 0 1 |
| 25.1 | 72 | 1 1 1 |
| 34.7 | 100 | 2 2 0 |
| 35.0 | 94 | 3 0 1 |
| 35.3 | 72 | 1 2 1 |
| 45.6 | 31 | 3 2 1 |
| 51.5 | 49 | 2 2 2 |
| 62.2 | 39 | 5 2 1 |
| 65.3 | 31 | 1 2 3 |

=====

2.
# LiNiPO4
Calculated XRD peak list, CuKα. Input: a cell relaxed with PBE+U.
Kinematic intensities with the Lorentz-polarization factor, no thermal factor.

Structure:
```
data_LiNiPO4
_chemical_formula_sum 'Li8 Ni8 P8 O32'
_cell_length_a 9.8519
_cell_length_b 4.9266
_cell_length_c 14.0487
_cell_angle_alpha 90.00
_cell_angle_beta 90.00
_cell_angle_gamma 90.00
_symmetry_space_group_name_H-M 'P c a 21'
_symmetry_Int_Tables_number 29
_symmetry_space_group_name_Hall 'P 2c -2ac'
loop_
_atom_site_label
_atom_site_fract_x
_atom_site_fract_y
_atom_site_fract_z
Li1 0.0289 0.0677 0.0000
Li2 0.2227 0.4495 0.2503
Ni1 0.0305 0.9502 0.2509
Ni2 0.2244 0.4563 0.5001
P1 0.0288 0.5644 0.8754
P2 0.2137 0.9464 0.6262
O1 0.0002 0.1256 0.3759
O2 0.0340 0.5569 0.4676
O3 0.0353 0.5583 0.2840
O4 0.0594 0.0098 0.6259
O5 0.1831 0.5028 0.8751
O6 0.2203 0.0608 0.2182
O7 0.2254 0.0765 0.0347
O8 0.2396 0.6357 0.6257
```

Peak list (10 most intense, 15° ≤ 2θ ≤ 90°, by angle)
| two_theta | Rel. int. | hkl |
| --- | --- | --- |
| 22.0 | 100 | 0 1 2 |
| 25.6 | 6 | 2 1 0 |
| 26.3 | 7 | 2 0 3 |
| 32.0 | 6 | 2 1 3 |
| 36.3 | 11 | 2 1 4 |
| 36.5 | 32 | 0 2 0 |
| 42.8 | 10 | 0 1 6 |
| 43.0 | 13 | 2 2 2 |
| 52.1 | 6 | 0 0 8 |
| 65.3 | 6 | 0 2 8 |